Calculated powder XRD pattern
Compound: LaAs2
Radiation: λ = 1.5418 Å (Cu Kα)
Structure: a cell relaxed with GGA-PBE

Principal peaks in the range 10 to 90 degrees two-theta, by angle:
2θ (°)  intensity  (hkl)
22.53  39.5  1 1 -2
28.08  47.9  0 4 1
28.48  80.4  3 3 -1
30.18  48.8  4 2 -2
32.21  42.1  1 5 -1
33.20  97.6  2 2 1
33.33  99.6  4 2 -3
37.86  100.0  1 5 -2
44.25  39.1  2 0 -4
49.04  40.4  3 7 -1

Crystal structure
Cell lengths 12.956, 14.585, 9.143 Å; angles 90.00, 134.84, 90.00 degrees
Space group Cc (No. 9)
Symmetry-distinct sites (fractional):
La  0.000  0.041  0.000
La  0.108  0.302  0.292
La  0.315  0.280  0.896
La  0.395  0.042  0.194
As  0.006  0.251  0.866
As  0.017  0.381  0.508
As  0.104  0.127  0.802
As  0.181  0.126  0.537
As  0.188  0.477  0.826
As  0.208  0.373  0.076
As  0.297  0.124  0.401
As  0.416  0.372  0.710

Calculated powder XRD pattern
Compound: LaAs
Radiation: λ = 1.5418 Å (Cu Kα)
Structure: a cell relaxed with GGA-PBE

Principal peaks in the range 10 to 90 degrees two-theta, by angle:
2θ (°)  intensity  (hkl)
24.89  14.5  1 1 1
28.82  100.0  2 0 0
41.21  75.6  2 2 0
48.74  7.2  3 1 1
51.06  26.9  2 2 2
59.69  12.6  4 0 0
65.68  3.0  3 3 1
67.61  34.4  4 2 0
75.11  25.4  4 2 2
89.46  8.4  4 4 0

Crystal structure
Cell lengths 6.196, 6.196, 6.196 Å; angles 90.00, 90.00, 90.00 degrees
Space group Fm-3m (No. 225)
Symmetry-distinct sites (fractional):
La  0.000  0.000  0.000
As  0.000  0.000  0.500

Calculated powder XRD pattern
Compound: LaAs2
Radiation: λ = 1.5418 Å (Cu Kα)
Structure: a cell relaxed with GGA-PBE

Principal peaks in the range 10 to 90 degrees two-theta, by angle:
2θ (°)  intensity  (hkl)
23.64  17.5  1 0 -2
25.48  25.3  0 2 0
26.91  33.5  1 1 -2
28.94  40.6  0 1 3
33.31  100.0  1 2 -1
34.35  80.6  1 1 2
36.67  19.1  0 2 3
37.74  34.8  1 1 -4
42.92  25.3  2 0 -2
47.12  34.4  0 3 3

Crystal structure
Cell lengths 4.239, 6.988, 10.781 Å; angles 90.00, 106.91, 90.00 degrees
Space group P2_1/c (No. 14)
Symmetry-distinct sites (fractional):
La  0.089  0.185  0.361
As  0.277  0.623  0.450
As  0.463  0.147  0.671

Calculated powder XRD pattern
Compound: Na3LaAs2O8
Radiation: λ = 1.5418 Å (Cu Kα)
Structure: a cell relaxed with GGA-PBE

Principal peaks in the range 10 to 90 degrees two-theta, by angle:
2θ (°)  intensity  (hkl)
11.86  14.2  0 0 1
20.87  100.0  1 0 1
29.50  65.2  0 1 2
29.87  77.4  1 1 0
42.48  39.1  2 0 2
48.03  20.0  2 1 1
52.79  23.0  1 2 2
53.02  14.7  3 0 0
58.29  15.1  1 1 4
62.05  14.7  2 2 0

Crystal structure
Cell lengths 5.9832, 5.9832, 7.4612 Å; angles 90.00, 90.00, 120.00 degrees
Space group P-3m1 (No. 164)
Symmetry-distinct sites (fractional):
Na  0.0000  0.0000  0.0000
Na  0.3333  0.6667  0.7033
La  0.0000  0.0000  0.5000
As  0.3333  0.6667  0.2151
O  0.1790  0.3579  0.3052
O  0.3333  0.6667  0.9914